Diffraction record for Mn2PHO3F2. The X-ray diffraction stick pattern is simulated, not measured: it uses a structure optimized by DFT (PBE+U) and Cu Kα X-rays.
No peak broadening, texture or thermal motion is included.

Main lines, by intensity (2θ from 15° to 90°):
3.181 Å, 2θ 28.05, intensity 100, hkl 2 0 1; 2.945 Å, 2θ 30.35, intensity 75, hkl 0 3 1; 5.162 Å, 2θ 17.18, intensity 51, hkl 0 2 0; 4.180 Å, 2θ 21.25, intensity 40, hkl 1 1 1; 1.904 Å, 2θ 47.77, intensity 38, hkl 2 3 2; 1.616 Å, 2θ 57.00, intensity 35, hkl 2 2 3

Structural model:
abc: 7.671 10.324 5.693
angles: 90.00 90.00 90.00
Fractional positions:
1 Mn 0.098 0.060 0.250
2 Mn 0.098 0.440 0.250
3 Mn 0.402 0.560 0.750
4 Mn 0.402 0.940 0.750
5 Mn 0.598 0.060 0.250
6 Mn 0.598 0.440 0.250
7 Mn 0.902 0.560 0.750
8 Mn 0.902 0.940 0.750
9 P 0.163 0.750 0.072
10 P 0.337 0.250 0.572
11 P 0.663 0.750 0.428
12 P 0.837 0.250 0.928
13 H 0.234 0.750 0.298
14 H 0.266 0.250 0.798
15 H 0.734 0.750 0.202
16 H 0.766 0.250 0.702
17 O 0.051 0.626 0.051
18 O 0.051 0.874 0.051
19 O 0.184 0.250 0.394
20 O 0.316 0.750 0.894
21 O 0.449 0.126 0.551
22 O 0.449 0.374 0.551
23 O 0.551 0.626 0.449
24 O 0.551 0.874 0.449
25 O 0.684 0.250 0.106
26 O 0.816 0.750 0.606
27 O 0.949 0.126 0.949
28 O 0.949 0.374 0.949
29 F 0.154 0.543 0.573
30 F 0.154 0.957 0.573
31 F 0.346 0.043 0.073
32 F 0.346 0.457 0.073
33 F 0.654 0.543 0.927
34 F 0.654 0.957 0.927
35 F 0.846 0.043 0.427
36 F 0.846 0.457 0.427

=====

Diffraction record for Rb2MnP2H3O8F2. The X-ray diffraction stick pattern is simulated, not measured: it uses a structure optimized by DFT (PBE+U) and Cu Kα X-rays.
No peak broadening, texture or thermal motion is included.

Main lines, by intensity (2θ from 15° to 90°):
3.600 Å, 2θ 24.73, intensity 100, hkl 0 2 1; 3.145 Å, 2θ 28.38, intensity 83, hkl 2 1 0; 3.772 Å, 2θ 23.59, intensity 80, hkl 1 1 -2; 2.508 Å, 2θ 35.80, intensity 76, hkl 1 3 -1; 3.412 Å, 2θ 26.11, intensity 72, hkl 2 1 -1; 2.713 Å, 2θ 33.02, intensity 65, hkl 1 1 -3

Structural model:
abc: 7.525 8.106 8.644
angles: 90.00 114.90 90.00
Fractional positions:
1 Rb 0.131 0.000 0.445
2 Rb 0.137 0.828 0.940
3 Rb 0.863 0.328 0.060
4 Rb 0.869 0.500 0.555
5 Mn 0.499 0.159 0.247
6 Mn 0.501 0.659 0.753
7 P 0.312 0.294 0.860
8 P 0.325 0.523 0.367
9 P 0.675 0.023 0.633
10 P 0.688 0.794 0.140
11 H 0.026 0.659 0.251
12 H 0.287 0.377 0.562
13 H 0.289 0.450 0.056
14 H 0.711 0.950 0.944
15 H 0.713 0.877 0.438
16 H 0.974 0.159 0.749
17 O 0.151 0.177 0.745
18 O 0.167 0.644 0.243
19 O 0.205 0.427 0.931
20 O 0.209 0.397 0.432
21 O 0.407 0.384 0.757
22 O 0.422 0.436 0.265
23 O 0.475 0.209 0.017
24 O 0.481 0.612 0.523
25 O 0.519 0.112 0.477
26 O 0.525 0.709 0.983
27 O 0.578 0.936 0.735
28 O 0.593 0.884 0.243
29 O 0.791 0.897 0.568
30 O 0.795 0.927 0.069
31 O 0.833 0.144 0.757
32 O 0.849 0.677 0.255
33 F 0.232 0.106 0.163
34 F 0.233 0.715 0.666
35 F 0.767 0.215 0.334
36 F 0.768 0.606 0.837